For MnFeBiO5, a GGA+U-relaxed structure gives the simulated powder diffraction line list in this record (copper Kα).
Intensities are scaled so that the largest is 100.

```
MnFeBiO5
1.0
7.591 0.000 0.000
0.000 8.668 0.000
0.000 0.000 5.976
Mn Fe Bi O
4 4 4 20
Direct
0.104 0.145 0.000
0.396 0.645 0.000
0.604 0.355 0.000
0.896 0.855 0.000
0.000 0.500 0.244
0.000 0.500 0.756
0.500 0.000 0.244
0.500 0.000 0.756
0.161 0.830 0.500
0.339 0.330 0.500
0.661 0.670 0.500
0.839 0.170 0.500
0.000 0.000 0.210
0.000 0.000 0.790
0.118 0.292 0.244
0.118 0.292 0.756
0.156 0.581 0.000
0.163 0.556 0.500
0.337 0.056 0.500
0.344 0.081 0.000
0.382 0.792 0.244
0.382 0.792 0.756
0.500 0.500 0.210
0.500 0.500 0.790
0.618 0.208 0.244
0.618 0.208 0.756
0.656 0.919 0.000
0.663 0.944 0.500
0.837 0.444 0.500
0.844 0.419 0.000
0.882 0.708 0.244
0.882 0.708 0.756
```

Most intense lines, 15 to 90 degrees two-theta, most intense first:
2theta  I (rel.)  (hkl)
29.7  100  2 1 1
28.0  93  1 2 1
57.4  34  3 3 2
39.8  30  2 1 2
33.2  29  1 3 0
36.5  23  0 2 2